This entry pairs a crystal structure of Ba5Ru2Cl2O9 with its computed X-ray powder pattern. Radiation: Cu Ka. Structure: DFT lattice parameters and positions (GGA-PBE).
Kinematic intensities with the Lorentz-polarization factor, no thermal factor.

Atomic structure:
```
data_Ba5Ru2Cl2O9
_chemical_formula_sum 'Ba10 Ru4 Cl4 O18'
_cell_length_a 5.9201
_cell_length_b 5.9201
_cell_length_c 25.2629
_cell_angle_alpha 90.00
_cell_angle_beta 90.00
_cell_angle_gamma 120.00
_space_group_name_H-M_alt 'P 1'
_space_group_IT_number 1
loop_
_space_group_symop_operation_xyz
'x,y,z'
loop_
_atom_site_label
_atom_site_type_symbol
_atom_site_fract_x
_atom_site_fract_y
_atom_site_fract_z
Ba1 Ba 0.3333 0.6667 0.0821
Ba2 Ba 0.3333 0.6667 0.2500
Ba3 Ba 0.3333 0.6667 0.4179
Ba4 Ba 0.3333 0.6667 0.6710
Ba5 Ba 0.3333 0.6667 0.8290
Ba6 Ba 0.6667 0.3333 0.1710
Ba7 Ba 0.6667 0.3333 0.3290
Ba8 Ba 0.6667 0.3333 0.5821
Ba9 Ba 0.6667 0.3333 0.7500
Ba10 Ba 0.6667 0.3333 0.9179
Ru1 Ru 0.0000 0.0000 0.1935
Ru2 Ru 0.0000 0.0000 0.3065
Ru3 Ru 0.0000 0.0000 0.6935
Ru4 Ru 0.0000 0.0000 0.8065
Cl1 Cl 0.3333 0.6667 0.5457
Cl2 Cl 0.3333 0.6667 0.9543
Cl3 Cl 0.6667 0.3333 0.0457
Cl4 Cl 0.6667 0.3333 0.4543
O1 O 0.1512 0.3025 0.7500
O2 O 0.1512 0.8488 0.7500
O3 O 0.1601 0.3203 0.1556
O4 O 0.1601 0.3203 0.3444
O5 O 0.1601 0.8398 0.1556
O6 O 0.1601 0.8398 0.3444
O7 O 0.3025 0.1512 0.2500
O8 O 0.3203 0.1601 0.6556
O9 O 0.3203 0.1601 0.8444
O10 O 0.6797 0.8398 0.1556
O11 O 0.6797 0.8398 0.3444
O12 O 0.6975 0.8488 0.7500
O13 O 0.8398 0.1601 0.6556
O14 O 0.8398 0.1601 0.8444
O15 O 0.8398 0.6797 0.6556
O16 O 0.8398 0.6797 0.8444
O17 O 0.8488 0.1512 0.2500
O18 O 0.8488 0.6975 0.2500
```

Largest 12 diffraction maxima, in order of rising 2θ, 5° ≤ 2θ ≤ 70°:
d_spacing  2theta  I (rel.)  (hkl)
12.631  7.0  83  0 0 2
4.751  18.7  11  1 0 2
3.599  24.7  26  1 0 5
3.254  27.4  8  1 0 6
2.957  30.2  100  1 1 0
2.286  39.4  18  2 0 5
2.160  41.8  14  1 1 8
2.090  43.3  20  2 0 7
1.709  53.6  13  3 0 0
1.707  53.7  13  2 1 7
1.480  62.8  11  2 2 0
1.426  65.4  8  1 0 17

=====

This entry pairs a crystal structure of ThH8Rh2 with its computed X-ray powder pattern. Radiation: Cu Ka. Structure: DFT lattice parameters and positions (GGA-PBE).
Kinematic intensities with the Lorentz-polarization factor, no thermal factor.

Atomic structure:
```
data_ThH8Rh2
_chemical_formula_sum 'Th1 H8 Rh2'
_cell_length_a 4.8939
_cell_length_b 3.7890
_cell_length_c 5.5658
_cell_angle_alpha 90.00
_cell_angle_beta 106.51
_cell_angle_gamma 90.00
_space_group_name_H-M_alt 'P 1'
_space_group_IT_number 1
loop_
_space_group_symop_operation_xyz
'x,y,z'
loop_
_atom_site_label
_atom_site_type_symbol
_atom_site_fract_x
_atom_site_fract_y
_atom_site_fract_z
Th1 Th 0.0000 0.0000 0.0000
H1 H 0.0000 0.1028 0.5000
H2 H 0.0000 0.8972 0.5000
H3 H 0.2544 0.5000 0.4378
H4 H 0.2566 0.5000 0.9083
H5 H 0.4819 0.0000 0.2541
H6 H 0.5181 0.0000 0.7459
H7 H 0.7434 0.5000 0.0917
H8 H 0.7456 0.5000 0.5622
Rh1 Rh 0.4645 0.5000 0.2432
Rh2 Rh 0.5355 0.5000 0.7568
```

Largest 12 diffraction maxima, in order of rising 2θ, 5° ≤ 2θ ≤ 70°:
d_spacing  2theta  I (rel.)  (hkl)
5.336  16.6  58  0 0 1
4.158  21.4  42  1 0 -1
3.089  28.9  27  0 1 1
2.948  30.3  100  1 1 0
2.801  32.0  16  1 1 -1
2.668  33.6  39  1 0 -2
2.405  37.4  24  1 1 1
2.346  38.4  25  2 0 0
2.182  41.4  44  0 1 2
2.079  43.5  19  1 0 2
2.037  44.5  18  2 1 -1
1.823  50.0  24  2 1 -2

=====

This entry pairs a crystal structure of ErB3Ir3 with its computed X-ray powder pattern. Radiation: Cu Ka. Structure: DFT lattice parameters and positions (GGA-PBE).
Kinematic intensities with the Lorentz-polarization factor, no thermal factor.

Atomic structure:
```
data_ErB3Ir3
_chemical_formula_sum 'Er2 B6 Ir6'
_cell_length_a 5.8670
_cell_length_b 5.8670
_cell_length_c 5.8670
_cell_angle_alpha 90.00
_cell_angle_beta 90.00
_cell_angle_gamma 90.00
_space_group_name_H-M_alt 'P 1'
_space_group_IT_number 1
loop_
_space_group_symop_operation_xyz
'x,y,z'
loop_
_atom_site_label
_atom_site_type_symbol
_atom_site_fract_x
_atom_site_fract_y
_atom_site_fract_z
Er1 Er 0.0000 0.0000 0.0000
Er2 Er 0.5000 0.5000 0.5000
B1 B 0.0000 0.2500 0.5000
B2 B 0.0000 0.7500 0.5000
B3 B 0.2500 0.5000 0.0000
B4 B 0.5000 0.0000 0.2500
B5 B 0.5000 0.0000 0.7500
B6 B 0.7500 0.5000 0.0000
Ir1 Ir 0.0000 0.5000 0.2500
Ir2 Ir 0.0000 0.5000 0.7500
Ir3 Ir 0.2500 0.0000 0.5000
Ir4 Ir 0.5000 0.2500 0.0000
Ir5 Ir 0.5000 0.7500 0.0000
Ir6 Ir 0.7500 0.0000 0.5000
```

Largest 8 diffraction maxima, in order of rising 2θ, 5° ≤ 2θ ≤ 70°:
d_spacing  2theta  I (rel.)  (hkl)
4.149  21.4  1  1 1 0
2.934  30.5  34  2 0 0
2.624  34.2  100  2 1 0
2.395  37.6  78  2 1 1
1.694  54.2  12  2 2 2
1.627  56.6  25  3 2 0
1.568  58.9  42  3 2 1
1.467  63.4  18  4 0 0